(1)
Structure and simulated powder XRD pattern of CaEuBr2 (a DFT-relaxed cell (PBE, Alexandria); CuKα).
Peak positions follow from Bragg's law for the DFT cell and can differ from measured ones.

The 8 most intense peaks (2θ from 15° to 90°), low angle first:
hkl, d (Å), Position (°2θ), intensity
0 1 2, 3.528, 25.2, 1000
0 1 5, 3.099, 28.8, 946
0 1 8, 2.597, 34.5, 623
1 0 10, 2.300, 39.2, 686
1 1 0, 2.097, 43.1, 540
1 1 3, 2.051, 44.2, 245
1 0 13, 1.934, 47.0, 199
0 2 10, 1.549, 59.7, 194

Cell and atoms:
```
data_CaEuBr2
_symmetry_space_group_name_H-M 'R -3 m'
_symmetry_Int_Tables_number 166
_symmetry_space_group_name_Hall '-R 3 2"'
_cell_length_a 4.1933
_cell_length_b 4.1933
_cell_length_c 29.7146
_cell_angle_alpha 90.00
_cell_angle_beta 90.00
_cell_angle_gamma 120.00
loop_
_atom_site_label
_atom_site_type_symbol
_atom_site_fract_x
_atom_site_fract_y
_atom_site_fract_z
_atom_site_occupancy
Ca1 Ca 0.0000 0.0000 0.0000 1
Eu1 Eu 0.0000 0.0000 0.5000 1
Br1 Br 0.0000 0.0000 0.1047 1
```

***

(2)
Structure and simulated powder XRD pattern of CaBrF6 (a DFT-relaxed cell (PBE, Alexandria); CuKα).
Peak positions follow from Bragg's law for the DFT cell and can differ from measured ones.

The 8 most intense peaks (2θ from 15° to 90°), low angle first:
hkl, d (Å), Position (°2θ), intensity
1 1 0, 4.536, 19.6, 231
0 2 0, 4.065, 21.9, 712
1 1 -1, 3.715, 24.0, 1000
1 1 1, 3.276, 27.2, 559
2 2 0, 2.268, 39.7, 185
0 2 2, 2.251, 40.1, 258
1 3 1, 2.161, 41.8, 697
2 0 -2, 2.088, 43.3, 234

Cell and atoms:
```
data_CaBrF6
_symmetry_space_group_name_H-M 'C 1 2/m 1'
_symmetry_Int_Tables_number 12
_cell_length_a 5.530
_cell_length_b 8.131
_cell_length_c 5.472
_cell_angle_alpha 90.00
_cell_angle_beta 98.81
_cell_angle_gamma 90.00
loop_
_symmetry_equiv_pos_as_xyz
'x,y,z'
'-x,-y,-z'
'-x,y,-z'
'x,-y,z'
'x+1/2,y+1/2,z'
'-x+1/2,-y+1/2,-z'
'-x+1/2,y+1/2,-z'
'x+1/2,-y+1/2,z'
loop_
_atom_site_label
_atom_site_type_symbol
_atom_site_fract_x
_atom_site_fract_y
_atom_site_fract_z
_atom_site_occupancy
Ca1 Ca 0.000 0.000 0.000 1
Br1 Br 0.000 0.500 0.500 1
F1 F 0.197 0.345 0.772 1
F2 F 0.228 0.000 0.671 1
```

***

(3)
Structure and simulated powder XRD pattern of LiCaHBrF2 (a DFT-relaxed cell (PBE, Alexandria); CuKα).
Peak positions follow from Bragg's law for the DFT cell and can differ from measured ones.

The 8 most intense peaks (2θ from 15° to 90°), low angle first:
hkl, d (Å), Position (°2θ), intensity
0 0 1, 3.929, 22.6, 541
1 1 0, 3.912, 22.7, 678
1 1 -1, 2.975, 30.0, 395
2 0 1, 2.745, 32.6, 378
4 0 -1, 2.733, 32.8, 1000
4 0 0, 2.702, 33.2, 299
1 1 1, 2.606, 34.4, 851
2 2 1, 1.667, 55.1, 337

Cell and atoms:
```
data_LiCaHBrF2
_symmetry_space_group_name_H-M 'C 1 m 1'
_symmetry_Int_Tables_number 8
_cell_length_a 11.583
_cell_length_b 4.197
_cell_length_c 4.217
_cell_angle_alpha 90.00
_cell_angle_beta 111.08
_cell_angle_gamma 90.00
loop_
_symmetry_equiv_pos_as_xyz
'x,y,z'
'x,-y,z'
'x+1/2,y+1/2,z'
'x+1/2,-y+1/2,z'
loop_
_atom_site_label
_atom_site_type_symbol
_atom_site_fract_x
_atom_site_fract_y
_atom_site_fract_z
_atom_site_occupancy
Li1 Li 0.000 0.000 0.000 1
Ca1 Ca 0.244 0.500 0.249 1
H1 H 0.010 0.500 0.014 1
Br1 Br 0.005 0.500 0.508 1
F1 F 0.175 0.000 0.178 1
F2 F 0.325 0.500 0.829 1
```

***

(4)
Structure and simulated powder XRD pattern of LiCaHBrF2 (a DFT-relaxed cell (PBE, Alexandria); CuKα).
Peak positions follow from Bragg's law for the DFT cell and can differ from measured ones.

The 8 most intense peaks (2θ from 15° to 90°), low angle first:
hkl, d (Å), Position (°2θ), intensity
0 1 0, 3.769, 23.6, 694
1 0 -1, 3.726, 23.9, 791
1 0 1, 2.886, 31.0, 814
0 1 1, 2.874, 31.1, 814
0 1 -2, 2.830, 31.6, 789
1 0 -2, 2.818, 31.8, 786
1 -1 0, 2.779, 32.2, 841
0 2 -1, 1.965, 46.2, 1000

Cell and atoms:
```
data_LiCaHBrF2
_symmetry_space_group_name_H-M 'P 1'
_symmetry_Int_Tables_number 1
_cell_length_a 3.931
_cell_length_b 3.932
_cell_length_c 6.740
_cell_angle_alpha 106.08
_cell_angle_beta 105.60
_cell_angle_gamma 90.08
loop_
_symmetry_equiv_pos_as_xyz
'x,y,z'
loop_
_atom_site_label
_atom_site_type_symbol
_atom_site_fract_x
_atom_site_fract_y
_atom_site_fract_z
_atom_site_occupancy
Li1 Li 0.000 0.000 0.000 1
Ca1 Ca 0.629 0.633 0.277 1
H1 H 0.941 0.950 0.665 1
Br1 Br 0.246 0.255 0.536 1
F1 F 0.042 0.544 0.091 1
F2 F 0.542 0.044 0.090 1
```

***

(5)
Structure and simulated powder XRD pattern of LiCaHBrF2 (a DFT-relaxed cell (PBE, Alexandria); CuKα).
Peak positions follow from Bragg's law for the DFT cell and can differ from measured ones.

The 8 most intense peaks (2θ from 15° to 90°), low angle first:
hkl, d (Å), Position (°2θ), intensity
0 1 -1, 3.430, 26.0, 1000
1 0 1, 3.230, 27.6, 461
1 0 -1, 3.212, 27.8, 471
1 1 0, 2.806, 31.9, 535
1 1 1, 2.551, 35.2, 677
1 1 -1, 2.542, 35.3, 666
1 0 2, 2.378, 37.8, 379
0 2 0, 2.079, 43.5, 403

Cell and atoms:
```
data_LiCaHBrF2
_symmetry_space_group_name_H-M 'P 1'
_symmetry_Int_Tables_number 1
_cell_length_a 3.801
_cell_length_b 4.159
_cell_length_c 6.067
_cell_angle_alpha 89.80
_cell_angle_beta 89.65
_cell_angle_gamma 90.00
loop_
_symmetry_equiv_pos_as_xyz
'x,y,z'
loop_
_atom_site_label
_atom_site_type_symbol
_atom_site_fract_x
_atom_site_fract_y
_atom_site_fract_z
_atom_site_occupancy
Li1 Li 0.000 0.000 0.000 1
Ca1 Ca 0.497 0.499 0.285 1
H1 H 0.994 0.498 0.548 1
Br1 Br 0.994 0.998 0.555 1
F1 F 0.499 0.000 0.107 1
F2 F 0.999 0.500 0.083 1
```

***

(6)
Structure and simulated powder XRD pattern of LiCaSeBrF (a DFT-relaxed cell (PBE, Alexandria); CuKα).
Peak positions follow from Bragg's law for the DFT cell and can differ from measured ones.

The 8 most intense peaks (2θ from 15° to 90°), low angle first:
hkl, d (Å), Position (°2θ), intensity
0 0 2, 5.714, 15.5, 387
0 1 3, 3.185, 28.0, 823
1 0 2, 3.002, 29.8, 1000
1 1 1, 2.915, 30.7, 625
0 2 0, 2.902, 30.8, 697
1 0 4, 2.220, 40.6, 276
1 2 2, 2.087, 43.4, 686
2 0 0, 1.764, 51.8, 415

Cell and atoms:
```
data_LiCaSeBrF
_symmetry_space_group_name_H-M 'A m m 2'
_symmetry_Int_Tables_number 38
_cell_length_a 3.528
_cell_length_b 5.805
_cell_length_c 11.429
_cell_angle_alpha 90.00
_cell_angle_beta 90.00
_cell_angle_gamma 90.00
loop_
_symmetry_equiv_pos_as_xyz
'x,y,z'
'-x,-y,z'
'-x,y,z'
'x,-y,z'
'x,y+1/2,z+1/2'
'-x,-y+1/2,z+1/2'
'-x,y+1/2,z+1/2'
'x,-y+1/2,z+1/2'
loop_
_atom_site_label
_atom_site_type_symbol
_atom_site_fract_x
_atom_site_fract_y
_atom_site_fract_z
_atom_site_occupancy
Li1 Li 0.000 0.000 0.000 1
Ca1 Ca 0.500 0.000 0.716 1
Se1 Se 0.000 0.000 0.501 1
Br1 Br 0.500 0.000 0.164 1
F1 F 0.000 0.000 0.833 1
```